Record 1
For BaTb2Mo4O16, a crystal structure in the Materials Project, relaxed with PBE+U gives the theoretical X-ray diffraction stick pattern in this record (Cu Kα (weighted mean of Kα1 and Kα2)).
Neutral-atom scattering factors, no anomalous dispersion.

Crystal structure
```
data_BaTb2Mo4O16
_chemical_formula_sum 'Ba2 Tb4 Mo8 O32'
_cell_length_a 6.9095
_cell_length_b 6.9095
_cell_length_c 19.5642
_cell_angle_alpha 90.59
_cell_angle_beta 90.59
_cell_angle_gamma 134.53
_space_group_name_H-M_alt 'P 1'
_space_group_IT_number 1
loop_
_space_group_symop_operation_xyz
'x,y,z'
loop_
_atom_site_label
_atom_site_type_symbol
_atom_site_fract_x
_atom_site_fract_y
_atom_site_fract_z
_atom_site_occupancy
Ba1 Ba 0.0319 0.9681 0.7500 1
Ba2 Ba 0.9681 0.0319 0.2500 1
Tb1 Tb 0.1450 0.8483 0.5327 1
Tb2 Tb 0.1517 0.8550 0.9673 1
Tb3 Tb 0.8483 0.1451 0.0327 1
Tb4 Tb 0.8550 0.1517 0.4673 1
Mo1 Mo 0.2571 0.7356 0.1490 1
Mo2 Mo 0.2644 0.7429 0.3510 1
Mo3 Mo 0.4312 0.5470 0.9093 1
Mo4 Mo 0.4530 0.5688 0.5907 1
Mo5 Mo 0.5470 0.4312 0.4093 1
Mo6 Mo 0.5688 0.4530 0.0907 1
Mo7 Mo 0.7356 0.2571 0.6490 1
Mo8 Mo 0.7429 0.2644 0.8510 1
O1 O 0.0138 0.7366 0.1745 1
O2 O 0.0781 0.5952 0.4333 1
O3 O 0.0877 0.3833 0.1339 1
O4 O 0.0962 0.4851 0.2878 1
O5 O 0.1757 0.5190 0.9547 1
O6 O 0.2194 0.3145 0.3973 1
O7 O 0.2259 0.2584 0.5350 1
O8 O 0.2584 0.2259 0.0350 1
O9 O 0.2634 0.9862 0.3255 1
O10 O 0.3010 0.4645 0.6700 1
O11 O 0.3145 0.2194 0.8973 1
O12 O 0.3833 0.0877 0.6339 1
O13 O 0.4048 0.9219 0.0667 1
O14 O 0.4645 0.3010 0.1700 1
O15 O 0.4810 0.8243 0.5453 1
O16 O 0.4851 0.0962 0.7878 1
O17 O 0.5149 0.9038 0.2122 1
O18 O 0.5190 0.1757 0.4547 1
O19 O 0.5355 0.6990 0.8300 1
O20 O 0.5952 0.0781 0.9333 1
O21 O 0.6167 0.9123 0.3661 1
O22 O 0.6855 0.7806 0.1027 1
O23 O 0.6990 0.5355 0.3300 1
O24 O 0.7366 0.0138 0.6745 1
O25 O 0.7416 0.7741 0.9650 1
O26 O 0.7741 0.7416 0.4650 1
O27 O 0.7806 0.6855 0.6027 1
O28 O 0.8243 0.4810 0.0453 1
O29 O 0.9038 0.5149 0.7122 1
O30 O 0.9123 0.6167 0.8661 1
O31 O 0.9219 0.4048 0.5667 1
O32 O 0.9862 0.2634 0.8255 1
```

The 10 most intense peaks (15° ≤ 2θ ≤ 90°), low angle first:
2θ/deg  I (rel.)
25.36  71
26.00  77
27.13  57
27.29  59
28.21  64
28.50  62
28.80  83
29.50  100
30.81  53
33.57  68

Record 2
For LiAlVO4, a crystal structure in the Materials Project, relaxed with PBE+U gives the theoretical X-ray diffraction stick pattern in this record (Cu Kα (weighted mean of Kα1 and Kα2)).
Neutral-atom scattering factors, no anomalous dispersion.

Crystal structure
```
data_LiAlVO4
_chemical_formula_sum 'Li2 Al2 V2 O8'
_cell_length_a 5.8307
_cell_length_b 5.8307
_cell_length_c 5.9111
_cell_angle_alpha 120.45
_cell_angle_beta 120.45
_cell_angle_gamma 59.13
_space_group_name_H-M_alt 'P 1'
_space_group_IT_number 1
loop_
_space_group_symop_operation_xyz
'x,y,z'
loop_
_atom_site_label
_atom_site_type_symbol
_atom_site_fract_x
_atom_site_fract_y
_atom_site_fract_z
_atom_site_occupancy
Li1 Li 0.1317 0.1317 0.3779 1
Li2 Li 0.8683 0.8683 0.6221 1
Al1 Al 0.0000 0.5000 0.0000 1
Al2 Al 0.5000 0.0000 0.0000 1
V1 V 0.5000 0.5000 0.0000 1
V2 V 0.5000 0.5000 0.5000 1
O1 O 0.2586 0.7135 0.2402 1
O2 O 0.2598 0.2598 0.2215 1
O3 O 0.2675 0.2675 0.7964 1
O4 O 0.2865 0.7414 0.7598 1
O5 O 0.7135 0.2586 0.2402 1
O6 O 0.7325 0.7325 0.2036 1
O7 O 0.7402 0.7402 0.7785 1
O8 O 0.7414 0.2865 0.7598 1
```

The 10 most intense peaks (15° ≤ 2θ ≤ 90°), low angle first:
2θ/deg  I (rel.)
18.47  41
18.81  100
35.85  32
36.23  15
36.40  8
43.92  85
58.44  12
62.89  9
63.87  34
64.81  8

Record 3
For MgMnCo5O12, a crystal structure in the Materials Project, relaxed with PBE+U gives the theoretical X-ray diffraction stick pattern in this record (Cu Kα (weighted mean of Kα1 and Kα2)).
Neutral-atom scattering factors, no anomalous dispersion.

Crystal structure
```
data_MgMnCo5O12
_chemical_formula_sum 'Mg1 Mn1 Co5 O12'
_cell_length_a 4.9064
_cell_length_b 4.9113
_cell_length_c 10.0023
_cell_angle_alpha 86.10
_cell_angle_beta 81.88
_cell_angle_gamma 60.05
_space_group_name_H-M_alt 'P 1'
_space_group_IT_number 1
loop_
_space_group_symop_operation_xyz
'x,y,z'
loop_
_atom_site_label
_atom_site_type_symbol
_atom_site_fract_x
_atom_site_fract_y
_atom_site_fract_z
_atom_site_occupancy
Mg1 Mg 0.0000 0.0000 0.0000 1
Mn1 Mn 0.2722 0.6612 0.2537 1
Co1 Co 0.0775 0.9984 0.7395 1
Co2 Co 0.4072 0.3318 0.7522 1
Co3 Co 0.6026 0.9974 0.2504 1
Co4 Co 0.7406 0.6650 0.7522 1
Co5 Co 0.9363 0.3330 0.2528 1
O1 O 0.0449 0.3211 0.8508 1
O2 O 0.1024 0.6518 0.6547 1
O3 O 0.2387 0.3274 0.3477 1
O4 O 0.2852 0.0009 0.1461 1
O5 O 0.3667 0.6772 0.8509 1
O6 O 0.4482 0.9978 0.6549 1
O7 O 0.5832 0.6621 0.3476 1
O8 O 0.6472 0.3214 0.1466 1
O9 O 0.7230 0.9991 0.8508 1
O10 O 0.7564 0.3437 0.6549 1
O11 O 0.9049 0.0045 0.3477 1
O12 O 0.9681 0.6727 0.1463 1
```

The 10 most intense peaks (15° ≤ 2θ ≤ 90°), low angle first:
2θ/deg  I (rel.)
17.92  100
37.02  7
37.18  15
38.48  13
43.78  7
44.40  7
44.52  7
47.73  7
47.85  7
65.94  8

Record 4
For MgMnCo3O8, a crystal structure in the Materials Project, relaxed with PBE+U gives the theoretical X-ray diffraction stick pattern in this record (Cu Kα (weighted mean of Kα1 and Kα2)).
Neutral-atom scattering factors, no anomalous dispersion.

Crystal structure
```
data_MgMnCo3O8
_chemical_formula_sum 'Mg1 Mn1 Co3 O8'
_cell_length_a 5.6476
_cell_length_b 5.6574
_cell_length_c 5.6857
_cell_angle_alpha 103.97
_cell_angle_beta 104.68
_cell_angle_gamma 119.74
_space_group_name_H-M_alt 'P 1'
_space_group_IT_number 1
loop_
_space_group_symop_operation_xyz
'x,y,z'
loop_
_atom_site_label
_atom_site_type_symbol
_atom_site_fract_x
_atom_site_fract_y
_atom_site_fract_z
_atom_site_occupancy
Mg1 Mg 0.0000 0.0000 0.0000 1
Mn1 Mn 0.2599 0.7580 0.4999 1
Co1 Co 0.2709 0.2657 0.5247 1
Co2 Co 0.7433 0.7445 0.4756 1
Co3 Co 0.7515 0.2497 0.5004 1
O1 O 0.0119 0.6873 0.6950 1
O2 O 0.0126 0.1740 0.7029 1
O3 O 0.4753 0.3101 0.2975 1
O4 O 0.4898 0.8310 0.2955 1
O5 O 0.5346 0.1893 0.7050 1
O6 O 0.5413 0.7007 0.7067 1
O7 O 0.9966 0.3178 0.3054 1
O8 O 0.9982 0.8350 0.2932 1
```

The 10 most intense peaks (15° ≤ 2θ ≤ 90°), low angle first:
2θ/deg  I (rel.)
17.93  100
36.32  6
36.62  19
36.77  10
40.85  15
41.11  18
41.34  15
52.21  11
52.57  16
52.89  10

Record 5
For Li3Mn2O5, a crystal structure in the Materials Project, relaxed with PBE+U gives the theoretical X-ray diffraction stick pattern in this record (Cu Kα (weighted mean of Kα1 and Kα2)).
Neutral-atom scattering factors, no anomalous dispersion.

Crystal structure
```
data_Li3Mn2O5
_chemical_formula_sum 'Li6 Mn4 O10'
_cell_length_a 2.9559
_cell_length_b 6.0011
_cell_length_c 10.4289
_cell_angle_alpha 97.55
_cell_angle_beta 96.99
_cell_angle_gamma 93.16
_space_group_name_H-M_alt 'P 1'
_space_group_IT_number 1
loop_
_space_group_symop_operation_xyz
'x,y,z'
loop_
_atom_site_label
_atom_site_type_symbol
_atom_site_fract_x
_atom_site_fract_y
_atom_site_fract_z
_atom_site_occupancy
Li1 Li 0.0000 0.0000 0.0000 1
Li2 Li 0.0000 0.5000 0.0000 1
Li3 Li 0.2036 0.0960 0.3977 1
Li4 Li 0.4041 0.7160 0.8190 1
Li5 Li 0.5959 0.2840 0.1810 1
Li6 Li 0.7964 0.9040 0.6023 1
Mn1 Mn 0.1907 0.6024 0.4003 1
Mn2 Mn 0.4166 0.1952 0.8097 1
Mn3 Mn 0.5834 0.8048 0.1903 1
Mn4 Mn 0.8093 0.3976 0.5997 1
O1 O 0.0713 0.5815 0.2047 1
O2 O 0.1083 0.0192 0.1987 1
O3 O 0.2647 0.6405 0.5954 1
O4 O 0.3487 0.1618 0.6108 1
O5 O 0.4943 0.2488 0.9863 1
O6 O 0.5057 0.7512 0.0137 1
O7 O 0.6513 0.8382 0.3892 1
O8 O 0.7353 0.3595 0.4046 1
O9 O 0.8917 0.9808 0.8013 1
O10 O 0.9287 0.4185 0.7953 1
```

The 10 most intense peaks (15° ≤ 2θ ≤ 90°), low angle first:
2θ/deg  I (rel.)
16.18  9
18.29  100
34.80  15
36.19  11
36.50  11
41.76  34
44.22  57
58.20  10
62.59  8
63.00  9

Record 6
For TiVP3O12, a crystal structure in the Materials Project, relaxed with PBE+U gives the theoretical X-ray diffraction stick pattern in this record (Cu Kα (weighted mean of Kα1 and Kα2)).
Neutral-atom scattering factors, no anomalous dispersion.

Crystal structure
```
data_TiVP3O12
_chemical_formula_sum 'Ti2 V2 P6 O24'
_cell_length_a 8.7440
_cell_length_b 8.7440
_cell_length_c 8.7440
_cell_angle_alpha 58.84
_cell_angle_beta 58.84
_cell_angle_gamma 58.84
_space_group_name_H-M_alt 'P 1'
_space_group_IT_number 1
loop_
_space_group_symop_operation_xyz
'x,y,z'
loop_
_atom_site_label
_atom_site_type_symbol
_atom_site_fract_x
_atom_site_fract_y
_atom_site_fract_z
_atom_site_occupancy
Ti1 Ti 0.0000 0.0000 0.0000 1
Ti2 Ti 0.5000 0.5000 0.5000 1
V1 V 0.2228 0.2228 0.2228 1
V2 V 0.7228 0.7228 0.7228 1
P1 P 0.1070 0.8332 0.3949 1
P2 P 0.3332 0.6070 0.8949 1
P3 P 0.3949 0.1070 0.8332 1
P4 P 0.6070 0.8949 0.3332 1
P5 P 0.8332 0.3949 0.1070 1
P6 P 0.8949 0.3332 0.6070 1
O1 O 0.0065 0.3661 0.1383 1
O2 O 0.0678 0.8643 0.2289 1
O3 O 0.0791 0.3066 0.4295 1
O4 O 0.1383 0.0065 0.3661 1
O5 O 0.1506 0.7760 0.9282 1
O6 O 0.2289 0.0678 0.8642 1
O7 O 0.2760 0.6506 0.4282 1
O8 O 0.3066 0.4295 0.0791 1
O9 O 0.3642 0.5678 0.7289 1
O10 O 0.3661 0.1383 0.0065 1
O11 O 0.4282 0.2760 0.6506 1
O12 O 0.4295 0.0791 0.3066 1
O13 O 0.5065 0.6383 0.8661 1
O14 O 0.5678 0.7289 0.3642 1
O15 O 0.5791 0.9295 0.8066 1
O16 O 0.6383 0.8661 0.5065 1
O17 O 0.6506 0.4282 0.2760 1
O18 O 0.7289 0.3643 0.5678 1
O19 O 0.7760 0.9282 0.1506 1
O20 O 0.8066 0.5791 0.9295 1
O21 O 0.8642 0.2289 0.0678 1
O22 O 0.8661 0.5065 0.6383 1
O23 O 0.9282 0.1506 0.7760 1
O24 O 0.9295 0.8066 0.5791 1
```

The 10 most intense peaks (15° ≤ 2θ ≤ 90°), low angle first:
2θ/deg  I (rel.)
20.32  51
20.68  22
24.13  100
29.15  41
32.10  16
32.45  22
36.22  10
46.63  13
53.46  15
56.70  11

Record 7
For Sr2VCu2O7, a crystal structure in the Materials Project, relaxed with PBE+U gives the theoretical X-ray diffraction stick pattern in this record (Cu Kα (weighted mean of Kα1 and Kα2)).
Neutral-atom scattering factors, no anomalous dispersion.

Crystal structure
```
data_Sr2VCu2O7
_chemical_formula_sum 'Sr4 V2 Cu4 O14'
_cell_length_a 13.0879
_cell_length_b 13.0879
_cell_length_c 5.2691
_cell_angle_alpha 101.57
_cell_angle_beta 101.57
_cell_angle_gamma 146.59
_space_group_name_H-M_alt 'P 1'
_space_group_IT_number 1
loop_
_space_group_symop_operation_xyz
'x,y,z'
loop_
_atom_site_label
_atom_site_type_symbol
_atom_site_fract_x
_atom_site_fract_y
_atom_site_fract_z
_atom_site_occupancy
Sr1 Sr 0.1119 0.8881 0.0000 1
Sr2 Sr 0.4106 0.6340 0.0197 1
Sr3 Sr 0.6340 0.4106 0.0197 1
Sr4 Sr 0.8881 0.1119 0.0000 1
V1 V 0.0721 0.0721 0.5137 1
V2 V 0.4308 0.4308 0.3634 1
Cu1 Cu 0.2034 0.8256 0.5171 1
Cu2 Cu 0.3189 0.6974 0.5050 1
Cu3 Cu 0.6974 0.3189 0.5050 1
Cu4 Cu 0.8256 0.2034 0.5171 1
O1 O 0.0249 0.8984 0.4783 1
O2 O 0.0903 0.4342 0.0150 1
O3 O 0.0907 0.4325 0.5080 1
O4 O 0.1289 0.1289 0.2047 1
O5 O 0.4015 0.4015 0.9928 1
O6 O 0.4325 0.0907 0.5080 1
O7 O 0.4342 0.0903 0.0150 1
O8 O 0.5097 0.6266 0.5912 1
O9 O 0.5854 0.9347 0.5071 1
O10 O 0.5860 0.9367 0.0137 1
O11 O 0.6266 0.5097 0.5912 1
O12 O 0.8984 0.0249 0.4783 1
O13 O 0.9347 0.5854 0.5071 1
O14 O 0.9367 0.5860 0.0137 1
```

The 10 most intense peaks (15° ≤ 2θ ≤ 90°), low angle first:
2θ/deg  I (rel.)
21.26  18
24.67  19
27.63  100
31.99  57
33.25  34
34.03  36
35.82  22
37.32  81
48.23  21
48.40  22